Diffraction record for Pr8Sm3In. The X-ray powder pattern is theoretical, not measured: it uses a structure optimized by DFT (GGA-PBE) and Cu Kα, 1.54184 Å.
Kinematic intensities with the Lorentz-polarization factor, no thermal factor.

Most intense lines, 2θ from 5° to 70°, in order of rising 2θ:
2theta  I_rel
23.83  63
25.30  54
28.66  77
30.54  71
35.69  100
42.37  51

Cell and atoms:
```
12
Lattice="-4.405 4.405 5.855 4.405 -4.405 5.855 4.405 4.405 -5.855" Properties=species:S:1:pos:R:3 pbc="T T T"
Pr 3.283 3.283 -2.917
Pr 2.179 -2.179 5.699
Pr 2.226 2.226 0.156
Pr 1.122 1.122 2.938
Pr 1.122 -1.122 8.772
Pr -2.179 2.179 5.699
Pr 2.179 2.179 6.012
Pr -1.122 1.122 8.772
Sm 4.405 0.000 2.928
Sm 0.000 0.000 5.855
Sm 0.000 4.405 2.928
In 0.000 0.000 0.000
```